# 1
Cu9Ag: calculated X-ray diffraction stick pattern (a wavelength of 1.5418 Å), based on the PBE geometry in OQMD.
Kinematic intensities with the Lorentz-polarization factor, no thermal factor.

Structure:
a b c (Å): 4.505 4.505 8.205
angles (deg): 90.14 90.14 48.09
Atoms (fractional coordinates):
Cu (0.000, 0.000, 0.000)
Cu (0.105, 0.105, 0.711)
Cu (0.201, 0.201, 0.391)
Cu (0.300, 0.300, 0.098)
Cu (0.399, 0.399, 0.809)
Cu (0.601, 0.601, 0.191)
Cu (0.700, 0.700, 0.902)
Cu (0.799, 0.799, 0.609)
Cu (0.895, 0.895, 0.289)
Ag (0.500, 0.500, 0.500)

Peak list (10 most intense, 2θ from 10° to 90°, low angle first)
- 2θ 28.8, I = 1
- 2θ 34.5, I = 1
- 2θ 42.6, I = 100
- 2θ 49.5, I = 16
- 2θ 49.7, I = 31
- 2θ 72.8, I = 18
- 2θ 72.9, I = 9
- 2θ 88.0, I = 11
- 2θ 88.3, I = 11
- 2θ 88.4, I = 10

# 2
Nd2DyIn3AgPd2: calculated X-ray diffraction stick pattern (a wavelength of 1.5418 Å), based on the PBE geometry in OQMD.
Kinematic intensities with the Lorentz-polarization factor, no thermal factor.

Structure:
a b c (Å): 3.895 7.876 7.876
angles (deg): 119.82 90.00 90.00
Atoms (fractional coordinates):
Nd (0.000, 0.205, 0.795)
Nd (0.000, 0.795, 0.205)
Dy (0.000, 0.386, 0.386)
In (0.500, 0.064, 0.064)
In (0.500, 0.529, 0.792)
In (0.500, 0.792, 0.529)
Ag (0.000, 0.793, 0.793)
Pd (0.500, 0.133, 0.460)
Pd (0.500, 0.460, 0.133)

Peak list (10 most intense, 2θ from 10° to 90°, low angle first)
- 2θ 32.3, I = 100
- 2θ 34.7, I = 31
- 2θ 34.8, I = 15
- 2θ 35.0, I = 91
- 2θ 39.6, I = 29
- 2θ 42.0, I = 21
- 2θ 46.6, I = 23
- 2θ 59.5, I = 19
- 2θ 62.8, I = 21
- 2θ 64.1, I = 22

# 3
AgPS6: calculated X-ray diffraction stick pattern (a wavelength of 1.5418 Å), based on the PBE geometry in OQMD.
Kinematic intensities with the Lorentz-polarization factor, no thermal factor.

Structure:
a b c (Å): 6.124 6.124 6.124
angles (deg): 60.00 60.00 60.00
Atoms (fractional coordinates):
Ag (0.000, 0.000, 0.000)
P (0.250, 0.250, 0.250)
S (0.000, 0.000, 0.500)
S (0.000, 0.500, 0.000)
S (0.000, 0.500, 0.500)
S (0.500, 0.000, 0.000)
S (0.500, 0.000, 0.500)
S (0.500, 0.500, 0.000)

Peak list (10 most intense, 2θ from 10° to 90°, low angle first)
- 2θ 17.7, I = 100
- 2θ 29.2, I = 19
- 2θ 34.3, I = 57
- 2θ 35.9, I = 95
- 2θ 41.7, I = 67
- 2θ 45.7, I = 25
- 2θ 55.1, I = 18
- 2θ 60.5, I = 41
- 2θ 63.6, I = 18
- 2θ 72.4, I = 32